Structure and computed powder X-ray diffraction pattern of Nd3BS6 (DFT lattice parameters and positions (PBE); a wavelength of 1.5418 Å).

```
Nd3BS6
1.0
5.4657 -6.7169 0.0000
5.4657 6.7169 0.0000
0.0000 0.0000 6.4590
Nd B S
6 2 12
Direct
0.1042 0.8958 0.5000 Nd
0.2144 0.4199 0.5869 Nd
0.4199 0.2144 0.0869 Nd
0.5801 0.7856 0.5869 Nd
0.7856 0.5801 0.0869 Nd
0.8958 0.1042 0.0000 Nd
0.3059 0.6941 0.1370 B
0.6941 0.3059 0.6370 B
0.1011 0.6084 0.2640 S
0.1361 0.1858 0.2957 S
0.1858 0.1361 0.7957 S
0.2932 0.7068 0.8345 S
0.3916 0.8989 0.2640 S
0.4442 0.5558 0.2472 S
0.5558 0.4442 0.7472 S
0.6084 0.1011 0.7640 S
0.7068 0.2932 0.3345 S
0.8142 0.8639 0.2957 S
0.8639 0.8142 0.7957 S
0.8989 0.3916 0.7640 S
```

Main lines, sorted by position (2θ = 10–90°):
d 5.138, intensity 363; d 3.544, intensity 1000; d 3.517, intensity 218; d 3.488, intensity 528; d 2.589, intensity 303; d 2.379, intensity 470; d 2.328, intensity 299; d 2.162, intensity 315